For Sr6Li3Br14, a cell relaxed with PBE gives the simulated X-ray powder pattern in this record (Cu Ka).

Main lines, sorted by position (10 to 90 degrees two-theta):
- 2θ 27.9, d = 3.200 Å, intensity 100
- 2θ 30.9, d = 2.893 Å, intensity 46
- 2θ 32.3, d = 2.775 Å, intensity 25
- 2θ 33.7, d = 2.657 Å, intensity 20
- 2θ 36.3, d = 2.478 Å, intensity 53
- 2θ 49.3, d = 1.849 Å, intensity 21

Crystal structure
a b c (Å): 11.063 11.063 6.809
angles (deg): 90.00 90.00 120.00
Sites, in units of the cell vectors:
Sr 0.037 0.474 0.000
Sr 0.292 0.199 0.490
Sr 0.437 0.963 0.000
Sr 0.526 0.563 0.000
Sr 0.801 0.093 0.490
Sr 0.907 0.708 0.490
Li 0.000 0.000 0.061
Li 0.333 0.667 0.571
Li 0.667 0.333 0.681
Br 0.000 0.000 0.694
Br 0.076 0.233 0.226
Br 0.158 0.924 0.226
Br 0.182 0.751 0.735
Br 0.249 0.431 0.735
Br 0.333 0.667 0.202
Br 0.431 0.239 0.906
Br 0.520 0.094 0.436
Br 0.569 0.818 0.735
Br 0.574 0.480 0.436
Br 0.761 0.192 0.906
Br 0.767 0.842 0.226
Br 0.808 0.569 0.906
Br 0.906 0.426 0.436

***

For Nd6CN4, a cell relaxed with PBE gives the simulated X-ray powder pattern in this record (Cu Ka).

Main lines, sorted by position (10 to 90 degrees two-theta):
- 2θ 23.7, d = 3.757 Å, intensity 70
- 2θ 28.9, d = 3.086 Å, intensity 100
- 2θ 30.0, d = 2.980 Å, intensity 85
- 2θ 37.4, d = 2.402 Å, intensity 68
- 2θ 38.3, d = 2.351 Å, intensity 69
- 2θ 39.6, d = 2.273 Å, intensity 53

Crystal structure
a b c (Å): 7.524 7.524 7.524
angles (deg): 91.98 91.98 91.98
Sites, in units of the cell vectors:
Nd 0.024 0.954 0.683
Nd 0.046 0.317 0.976
Nd 0.183 0.454 0.524
Nd 0.317 0.976 0.046
Nd 0.454 0.524 0.183
Nd 0.476 0.817 0.546
Nd 0.524 0.183 0.454
Nd 0.546 0.476 0.817
Nd 0.683 0.024 0.954
Nd 0.817 0.546 0.476
Nd 0.954 0.683 0.024
Nd 0.976 0.046 0.317
C 0.000 0.000 0.000
C 0.500 0.500 0.500
N 0.100 0.750 0.400
N 0.250 0.250 0.250
N 0.250 0.600 0.900
N 0.400 0.100 0.750
N 0.600 0.900 0.250
N 0.750 0.400 0.100
N 0.750 0.750 0.750
N 0.900 0.250 0.600

***

For Rb5Sb2Au, a cell relaxed with PBE gives the simulated X-ray powder pattern in this record (Cu Ka).

Main lines, sorted by position (10 to 90 degrees two-theta):
- 2θ 16.6, d = 5.337 Å, intensity 26
- 2θ 17.4, d = 5.099 Å, intensity 18
- 2θ 26.6, d = 3.356 Å, intensity 24
- 2θ 28.5, d = 3.132 Å, intensity 100
- 2θ 29.0, d = 3.077 Å, intensity 18
- 2θ 50.5, d = 1.808 Å, intensity 20

Crystal structure
a b c (Å): 10.601 10.601 10.601
angles (deg): 34.36 34.36 34.36
Sites, in units of the cell vectors:
Rb 0.000 0.000 0.000
Rb 0.134 0.134 0.134
Rb 0.283 0.283 0.283
Rb 0.717 0.717 0.717
Rb 0.866 0.866 0.866
Sb 0.410 0.410 0.410
Sb 0.590 0.590 0.590
Au 0.500 0.500 0.500

***

For UGeRh5, a cell relaxed with PBE gives the simulated X-ray powder pattern in this record (Cu Ka).

Main lines, sorted by position (10 to 90 degrees two-theta):
- 2θ 16.5, d = 5.357 Å, intensity 28
- 2θ 35.8, d = 2.510 Å, intensity 63
- 2θ 37.6, d = 2.392 Å, intensity 32
- 2θ 41.0, d = 2.200 Å, intensity 100
- 2θ 41.5, d = 2.177 Å, intensity 47
- 2θ 44.3, d = 2.046 Å, intensity 32

Crystal structure
a b c (Å): 6.249 6.249 6.969
angles (deg): 109.97 109.97 98.51
Sites, in units of the cell vectors:
U 0.183 0.817 0.750
U 0.817 0.183 0.250
Ge 0.000 0.500 0.000
Ge 0.500 0.000 0.500
Rh 0.070 0.930 0.250
Rh 0.201 0.375 0.658
Rh 0.272 0.578 0.390
Rh 0.375 0.201 0.158
Rh 0.422 0.728 0.110
Rh 0.578 0.272 0.890
Rh 0.625 0.799 0.842
Rh 0.728 0.422 0.610
Rh 0.799 0.625 0.342
Rh 0.930 0.070 0.750

***

For FeIr2Os2, a cell relaxed with PBE gives the simulated X-ray powder pattern in this record (Cu Ka).

Main lines, sorted by position (10 to 90 degrees two-theta):
- 2θ 25.3, d = 3.527 Å, intensity 68
- 2θ 25.9, d = 3.441 Å, intensity 42
- 2θ 42.3, d = 2.138 Å, intensity 93
- 2θ 42.4, d = 2.132 Å, intensity 77
- 2θ 44.1, d = 2.054 Å, intensity 58
- 2θ 45.3, d = 2.003 Å, intensity 100

Crystal structure
a b c (Å): 4.811 4.811 8.751
angles (deg): 102.74 102.74 50.54
Sites, in units of the cell vectors:
Fe 0.200 0.200 0.198
Fe 0.800 0.800 0.802
Ir 0.278 0.278 0.601
Ir 0.487 0.487 0.151
Ir 0.513 0.513 0.849
Ir 0.722 0.722 0.399
Os 0.013 0.013 0.361
Os 0.217 0.217 0.906
Os 0.783 0.783 0.094
Os 0.987 0.987 0.639